# 1
The following is a simulated PXRD pattern of Cd4FePb. It was derived from a crystal structure in Alexandria, relaxed with GGA-PBE, using Cu Kα.
Lines closer than 0.1° are merged.

Main lines, by angle (10° ≤ 2θ ≤ 90°):
- 2θ = 18.8°, rel. 11, hkl 1 1 1
- 2θ = 21.7°, rel. 11, hkl 2 0 0
- 2θ = 30.9°, rel. 29, hkl 2 2 0
- 2θ = 36.4°, rel. 100, hkl 3 1 1
- 2θ = 38.1°, rel. 37, hkl 2 2 2
- 2θ = 55.0°, rel. 12, hkl 4 2 2
- 2θ = 58.6°, rel. 33, hkl 5 1 1
- 2θ = 64.4°, rel. 26, hkl 4 4 0
- 2θ = 76.3°, rel. 11, hkl 5 3 3
- 2θ = 77.3°, rel. 13, hkl 6 2 2

Cell lengths 8.1845, 8.1845, 8.1845 Å; angles 90.00, 90.00, 90.00 degrees
Space group F-43m (No. 216)
Symmetry-distinct sites (fractional):
Cd: 0.1243 0.1243 0.1243
Fe: 0.2500 0.2500 0.7500
Pb: 0.0000 0.0000 0.5000

# 2
The following is a simulated PXRD pattern of CdFe2Pd9. It was derived from a crystal structure in Alexandria, relaxed with GGA-PBE, using Cu Kα.
Lines closer than 0.1° are merged.

Main lines, by angle (10° ≤ 2θ ≤ 90°):
- 2θ = 22.6°, rel. 2, hkl 1 0 0
- 2θ = 32.1°, rel. 2, hkl 1 1 0
- 2θ = 39.6°, rel. 100, hkl 1 1 3
- 2θ = 46.0°, rel. 33, hkl 2 0 0
- 2θ = 46.2°, rel. 15, hkl 0 0 6
- 2θ = 67.1°, rel. 10, hkl 2 2 0
- 2θ = 67.3°, rel. 19, hkl 2 0 6
- 2θ = 80.9°, rel. 24, hkl 3 1 3
- 2θ = 81.1°, rel. 10, hkl 1 1 9
- 2θ = 85.4°, rel. 10, hkl 2 2 6

Cell lengths 3.9429, 3.9429, 11.7939 Å; angles 90.00, 90.00, 90.00 degrees
Space group P4/mmm (No. 123)
Symmetry-distinct sites (fractional):
Cd: 0.0000 0.0000 0.0000
Fe: 0.0000 0.0000 0.3341
Pd: 0.0000 0.5000 0.1786
Pd: 0.0000 0.5000 0.5000
Pd: 0.5000 0.5000 0.0000
Pd: 0.5000 0.5000 0.3393

# 3
The following is a simulated PXRD pattern of CdFe2Pd6. It was derived from a crystal structure in Alexandria, relaxed with GGA-PBE, using Cu Kα.
Lines closer than 0.1° are merged.

Main lines, by angle (10° ≤ 2θ ≤ 90°):
- 2θ = 31.6°, rel. 10, hkl 4 2 0
- 2θ = 35.2°, rel. 63, hkl 1 3 1
- 2θ = 39.9°, rel. 100, hkl 5 1 1
- 2θ = 42.5°, rel. 31, hkl 0 4 1
- 2θ = 42.7°, rel. 61, hkl 0 0 2
- 2θ = 45.2°, rel. 9, hkl 4 4 0
- 2θ = 48.0°, rel. 17, hkl 5 3 1
- 2θ = 61.9°, rel. 12, hkl 5 3 2
- 2θ = 76.2°, rel. 14, hkl 5 1 3
- 2θ = 83.3°, rel. 10, hkl 10 0 2

Cell lengths 13.8661, 9.8395, 4.2393 Å; angles 90.00, 90.00, 90.00 degrees
Space group Cmcm (No. 63)
Symmetry-distinct sites (fractional):
Cd: 0.0000 0.2314 0.2500
Fe: 0.2162 0.4269 0.2500
Pd: 0.0974 0.0848 0.7500
Pd: 0.0984 0.3795 0.7500
Pd: 0.2016 0.1764 0.2500